This entry pairs a crystal structure of CoGe3Ir with its theoretical powder XRD pattern. Radiation: Cu Kα, 1.54184 Å. Structure: DFT lattice parameters and positions (GGA-PBE).
Kinematic intensities with the Lorentz-polarization factor, no thermal factor.

Crystal structure
```
CoGe3Ir
1.0
5.817 -5.841 0.000
5.817 5.841 0.000
-0.787 0.000 4.642
Co Ge Ir
4 12 4
Direct
0.077 0.923 0.750
0.240 0.760 0.250
0.760 0.240 0.750
0.923 0.077 0.250
0.037 0.643 0.849
0.054 0.213 0.672
0.213 0.054 0.172
0.313 0.530 0.478
0.357 0.963 0.651
0.470 0.687 0.022
0.530 0.313 0.978
0.643 0.037 0.349
0.687 0.470 0.522
0.787 0.946 0.828
0.946 0.787 0.328
0.963 0.357 0.151
0.244 0.431 0.935
0.431 0.244 0.435
0.569 0.756 0.565
0.756 0.569 0.065
```

Principal peaks in the range 10° ≤ 2θ ≤ 80°, sorted by position:
10.81°, I = 65
24.50°, I = 68
27.28°, I = 71
38.35°, I = 100
39.05°, I = 66
42.64°, I = 87
47.32°, I = 63
50.87°, I = 80